[1]
Diffraction record for CsZr4Br7. The powder diffraction line list is simulated, not measured: it uses the PBE geometry in Alexandria and Cu Kα, 1.54184 Å.

Structural model:
```
data_CsZr4Br7
_chemical_formula_sum 'Cs2 Zr8 Br14'
_symmetry_space_group_name_H-M 'P m m n'
_symmetry_Int_Tables_number 59
_cell_length_a 5.356
_cell_length_b 21.153
_cell_length_c 5.754
_cell_angle_alpha 90.00
_cell_angle_beta 90.00
_cell_angle_gamma 90.00
loop_
_symmetry_equiv_pos_as_xyz
'x,y,z'
'-x,-y,-z'
'-x+1/2,-y+1/2,z'
'x+1/2,y+1/2,-z'
'x+1/2,-y,-z'
'-x+1/2,y,z'
'-x,y+1/2,-z'
'x,-y+1/2,z'
loop_
_atom_site_label
_atom_site_fract_x
_atom_site_fract_y
_atom_site_fract_z
Cs1 0.250 0.250 0.182
Zr1 0.250 0.006 0.663
Zr2 0.250 0.603 0.318
Br1 0.250 0.021 0.166
Br2 0.250 0.137 0.676
Br3 0.250 0.626 0.800
Br4 0.250 0.750 0.303
```

Top 8 peaks for 10 to 90 degrees two-theta, low angle first:
| d [Å] | 2θ/deg | I (rel.) | h k l |
| --- | --- | --- | --- |
| 3.149 | 28.3 | 50.7 | 1 4 1 |
| 2.877 | 31.1 | 63.7 | 0 0 2 |
| 2.851 | 31.4 | 36.6 | 0 1 2 |
| 2.678 | 33.5 | 100.0 | 2 0 0 |
| 2.644 | 33.9 | 58.9 | 0 8 0 |
| 2.621 | 34.2 | 61.9 | 1 6 1 |
| 2.286 | 39.4 | 38.1 | 1 4 2 |
| 1.881 | 48.4 | 42.1 | 2 8 0 |



[2]
Diffraction record for Zr5Sb2C. The powder diffraction line list is simulated, not measured: it uses the PBE geometry in Alexandria and Cu Kα, 1.54184 Å.

Structural model:
```
data_Zr5Sb2C
_chemical_formula_sum 'Zr20 Sb8 C4'
_symmetry_space_group_name_H-M 'C m c m'
_symmetry_Int_Tables_number 63
_symmetry_space_group_name_Hall '-C 2c 2'
_cell_length_a 4.349
_cell_length_b 15.272
_cell_length_c 12.075
_cell_angle_alpha 90.00
_cell_angle_beta 90.00
_cell_angle_gamma 90.00
loop_
_atom_site_label
_atom_site_fract_x
_atom_site_fract_y
_atom_site_fract_z
Zr1 0.000 0.111 0.123
Zr2 0.000 0.255 0.750
Zr3 0.000 0.303 0.063
Sb1 0.000 0.081 0.623
C1 0.000 0.220 0.250
```

Top 8 peaks for 10 to 90 degrees two-theta, low angle first:
| d [Å] | 2θ/deg | I (rel.) | h k l |
| --- | --- | --- | --- |
| 4.183 | 21.2 | 98.9 | 1 1 0 |
| 2.900 | 30.8 | 65.3 | 1 1 3 |
| 2.555 | 35.1 | 35.0 | 1 3 3 |
| 2.500 | 35.9 | 96.1 | 1 5 0 |
| 2.448 | 36.7 | 100.0 | 1 1 4 |
| 2.368 | 38.0 | 37.3 | 0 4 4 |
| 2.175 | 41.5 | 50.7 | 2 0 0 |
| 1.925 | 47.2 | 39.1 | 1 5 4 |